This entry pairs a crystal structure of Na3BO3 with its calculated powder diffractogram. Radiation: Cu Kα (λ = 1.5418 Å). Structure: a cell relaxed with PBE.

Crystal structure
```
data_Na3BO3
_chemical_formula_sum 'Na12 B4 O12'
_space_group_name_H-M_alt 'P 1 21/c 1'
_space_group_IT_number 14
_space_group_name_Hall '-P 2ybc'
_cell_length_a 5.730
_cell_length_b 7.567
_cell_length_c 9.689
_cell_angle_alpha 90.00
_cell_angle_beta 123.56
_cell_angle_gamma 90.00
loop_
_atom_site_label
_atom_site_fract_x
_atom_site_fract_y
_atom_site_fract_z
Na1 0.051 0.149 0.431
Na2 0.209 0.526 0.457
Na3 0.404 0.219 0.278
B1 0.278 0.662 0.847
O1 0.062 0.648 0.873
O2 0.250 0.583 0.708
O3 0.489 0.231 0.049
```

Most intense lines, 2θ = 15–90°, by angle:
(hkl)  2θ (°)  Rel. int.
1 1 1  28.98  45.1
1 2 0  30.12  45.5
2 1 -1  34.85  31.4
1 0 2  36.22  31.3
0 3 1  37.35  58.0
1 0 -4  37.59  41.0
1 1 -4  39.47  100.0
1 3 0  40.44  25.7
1 3 1  44.88  85.6
2 3 -4  54.15  22.9